Starting from a cell relaxed with GGA-PBE, the powder diffraction line list of Na2P2Pd3 was calculated for Cu Kα.

Structure:
```
Na2P2Pd3
1.0
6.1279 0.0000 0.0000
0.0000 5.8273 0.0000
-4.9295 0.0000 7.2307
Na P Pd
4 4 6
Direct
0.1563 0.0834 0.3803
0.1563 0.4166 0.8803
0.8437 0.5834 0.1197
0.8437 0.9166 0.6197
0.3570 0.6204 0.5010
0.3570 0.8796 0.0010
0.6430 0.1204 0.9990
0.6430 0.3796 0.4990
0.0000 0.0000 0.0000
0.0000 0.5000 0.5000
0.4382 0.6931 0.2645
0.4382 0.8069 0.7645
0.5618 0.1931 0.2355
0.5618 0.3069 0.7355
```

Largest 10 diffraction maxima, sorted by position, 2θ = 10–90°:
17.5 deg, rel. 33.8
19.6 deg, rel. 80.4
20.6 deg, rel. 90.7
33.1 deg, rel. 35.1
33.9 deg, rel. 43.1
34.5 deg, rel. 31.3
35.5 deg, rel. 100.0
37.9 deg, rel. 44.1
38.8 deg, rel. 33.0
39.7 deg, rel. 54.9